This entry pairs a crystal structure of TbEr4In with its theoretical X-ray diffraction stick pattern. Radiation: Cu Kα. Structure: a DFT-relaxed cell (PBE, Alexandria).
Intensities are scaled so that the largest is 100.

Cell and atoms:
```
TbEr4In
1.0
3.5385 0.0000 0.0000
0.0000 3.5385 0.0000
0.0000 0.0000 14.1407
Tb Er In
1 4 1
Cartesian
0.0000 0.0000 0.0000
0.0000 0.0000 4.9721
0.0000 0.0000 9.1686
1.7692 1.7692 2.4993
1.7692 1.7692 11.6414
1.7692 1.7692 7.0703
```

Top 6 peaks for 15° ≤ 2θ ≤ 90°, in order of rising 2θ:
31.62 deg, I 100.0
35.89 deg, I 38.4
38.19 deg, I 12.4
51.66 deg, I 13.1
53.41 deg, I 18.8
61.85 deg, I 30.2